# Dy4Ho10Er
Computed X-ray powder pattern, Cu Kα, 1.54184 Å. Input: a cell relaxed with GGA-PBE.
Peak positions follow from Bragg's law for the DFT cell and can differ from measured ones.

Atomic structure:
abc: 9.333 9.333 9.333
angles: 99.58 99.58 131.84
Fractional coordinates of all 15 atoms:
Dy (0.100, 0.701, 0.801)
Dy (0.299, 0.100, 0.400)
Dy (0.701, 0.900, 0.600)
Dy (0.900, 0.299, 0.199)
Ho (0.051, 0.350, 0.899)
Ho (0.151, 0.051, 0.701)
Ho (0.250, 0.750, 0.500)
Ho (0.350, 0.451, 0.299)
Ho (0.451, 0.151, 0.101)
Ho (0.549, 0.849, 0.899)
Ho (0.650, 0.549, 0.701)
Ho (0.750, 0.250, 0.500)
Ho (0.849, 0.949, 0.299)
Ho (0.949, 0.650, 0.101)
Er (0.500, 0.500, 0.000)

Most intense lines, 2θ from 5° to 70°, low angle first:
20.2°, intensity 25
23.3°, intensity 14
33.3°, intensity 100
39.2°, intensity 14
47.7°, intensity 18
52.3°, intensity 6
59.4°, intensity 38
69.8°, intensity 12


# DyHo4Er
Computed X-ray powder pattern, Cu Kα, 1.54184 Å. Input: a cell relaxed with GGA-PBE.
Peak positions follow from Bragg's law for the DFT cell and can differ from measured ones.

Atomic structure:
abc: 9.334 9.334 11.389
angles: 90.00 90.00 158.21
Fractional coordinates of all 12 atoms:
Dy (0.167, 0.833, 0.500)
Dy (0.833, 0.167, 0.000)
Ho (0.055, 0.945, 0.750)
Ho (0.167, 0.833, 0.999)
Ho (0.389, 0.611, 0.750)
Ho (0.500, 0.500, 0.000)
Ho (0.500, 0.500, 0.500)
Ho (0.611, 0.389, 0.250)
Ho (0.833, 0.167, 0.499)
Ho (0.945, 0.055, 0.250)
Er (0.278, 0.722, 0.250)
Er (0.722, 0.278, 0.750)

Most intense lines, 2θ from 5° to 70°, low angle first:
30.3°, intensity 43
31.4°, intensity 35
33.3°, intensity 100
37.8°, intensity 24
51.8°, intensity 26
57.1°, intensity 22
61.9°, intensity 30
63.0°, intensity 16